# 1
Computed powder diffractogram of Ba3H12Ir2 for copper Kα, from a cell relaxed with GGA-PBE.

Structure:
```
17
Lattice="5.478 0.000 0.000 -2.739 4.744 0.000 0.000 0.000 8.812" Properties=species:S:1:pos:R:3 pbc="T T T"
Ba 0.000 0.000 0.000
Ba 0.000 3.163 5.648
Ba 2.739 1.581 3.164
H -1.153 2.497 1.094
H 0.000 1.747 3.052
H -1.226 3.870 3.052
H 1.513 0.873 5.761
H 1.153 2.497 1.094
H 0.000 4.494 1.094
H 2.739 0.250 7.718
H 1.586 2.247 7.718
H 1.226 3.870 3.052
H 3.965 0.873 5.761
H 2.739 2.997 5.761
H 3.892 2.247 7.718
Ir 0.000 3.163 2.109
Ir 2.739 1.581 6.703
```

Largest 6 diffraction maxima, by angle, 2θ from 10° to 90°:
2theta	intensity
21.27	63
27.63	100
32.70	100
35.96	48
43.32	30
55.32	29


# 2
Computed powder diffractogram of Ba6Na2HIr for copper Kα, from a cell relaxed with GGA-PBE.

Structure:
```
10
Lattice="-4.343 4.343 6.136 4.343 -4.343 6.136 4.343 4.343 -6.136" Properties=species:S:1:pos:R:3 pbc="T T T"
Ba 0.000 0.000 0.000
Ba 2.184 2.184 -3.080
Ba 2.159 -2.159 3.056
Ba -2.159 2.159 3.056
Ba 0.000 0.000 6.108
Ba 2.159 2.159 3.056
Na 4.343 0.000 6.122
Na 0.000 4.343 6.122
H 0.000 0.000 9.185
Ir 0.000 0.000 3.053
```

Largest 6 diffraction maxima, by angle, 2θ from 10° to 90°:
2theta	intensity
14.43	81
25.12	77
29.09	100
32.61	46
41.60	75
49.22	36


# 3
Computed powder diffractogram of KBaMnH6 for copper Kα, from a cell relaxed with GGA-PBE.

Structure:
```
9
Lattice="5.352 0.000 0.000 0.000 5.887 0.000 -2.671 0.000 4.647" Properties=species:S:1:pos:R:3 pbc="T T T"
K 0.000 0.000 0.000
Ba 0.004 2.944 3.097
Mn 2.680 2.944 1.544
H 1.578 1.913 0.909
H 1.578 3.975 0.909
H 3.780 1.915 0.903
H 3.780 3.973 0.903
H 2.683 1.910 2.816
H 2.683 3.978 2.816
```

Largest 6 diffraction maxima, by angle, 2θ from 10° to 90°:
2theta	intensity
15.05	53
19.12	24
24.42	100
33.44	51
36.86	32
45.79	41


# 4
Computed powder diffractogram of KBaNiH4 for copper Kα, from a cell relaxed with GGA-PBE.

Structure:
```
14
Lattice="2.668 -8.485 0.000 2.668 8.485 0.000 0.000 0.000 5.342" Properties=species:S:1:pos:R:3 pbc="T T T"
K 2.668 6.372 4.006
K 2.668 -6.372 1.335
Ba 2.668 2.387 4.006
Ba 2.668 -2.387 1.335
Ni 2.668 4.242 1.335
Ni 2.668 -4.242 4.006
H 1.334 4.243 0.000
H 1.334 4.243 2.671
H 2.668 5.837 1.335
H 2.668 2.644 1.335
H 1.334 -4.243 0.000
H 1.334 -4.243 2.671
H 2.668 -2.644 4.006
H 2.668 -5.837 4.006
```

Largest 6 diffraction maxima, by angle, 2θ from 10° to 90°:
2theta	intensity
10.43	95
19.64	35
28.42	95
33.57	71
35.57	100
61.32	39


# 5
Computed powder diffractogram of KBa2H6Ru for copper Kα, from a cell relaxed with GGA-PBE.

Structure:
```
10
Lattice="5.530 0.000 0.000 -2.765 4.789 0.000 0.000 0.000 7.428" Properties=species:S:1:pos:R:3 pbc="T T T"
K 0.000 0.000 0.000
Ba 0.000 3.193 4.883
Ba 2.765 1.596 2.545
H 0.000 1.413 2.703
H -1.542 4.083 2.703
H 1.223 0.706 4.725
H 1.542 4.083 2.703
H 4.307 0.706 4.725
H 2.765 3.376 4.725
Ru 0.000 0.000 3.714
```

Largest 6 diffraction maxima, by angle, 2θ from 10° to 90°:
2theta	intensity
11.91	86
22.08	98
30.46	100
32.38	85
34.61	37
45.05	35


# 6
Computed powder diffractogram of BaLaH6Pd2 for copper Kα, from a cell relaxed with GGA-PBE.

Structure:
```
20
Lattice="4.188 -5.193 0.000 4.188 5.193 0.000 -2.937 0.000 6.463" Properties=species:S:1:pos:R:3 pbc="T T T"
Ba 1.985 3.555 4.847
Ba 3.453 -3.555 1.616
La 3.453 0.930 1.616
La 1.985 -0.930 4.847
H 1.703 2.529 2.350
H 1.477 0.474 0.031
H 0.009 -0.474 3.262
H 0.854 1.070 5.679
H 5.204 2.529 0.882
H 3.115 1.070 4.016
H 2.323 -1.070 2.448
H 0.234 -2.529 5.581
H 4.584 -1.070 0.784
H 5.430 0.474 3.201
H 3.961 -0.474 6.432
H 3.735 -2.529 4.114
Pd -0.858 1.492 5.300
Pd 0.610 -1.492 2.068
Pd 4.828 1.492 4.395
Pd 6.297 -1.492 1.163
```

Largest 6 diffraction maxima, by angle, 2θ from 10° to 90°:
2theta	intensity
27.64	100
27.84	23
28.31	19
34.54	21
36.29	78
52.25	19


# 7
Computed powder diffractogram of BaLiMnH6 for copper Kα, from a cell relaxed with GGA-PBE.

Structure:
```
9
Lattice="4.793 0.000 0.000 -2.397 4.151 0.000 0.000 0.000 4.942" Properties=species:S:1:pos:R:3 pbc="T T T"
Ba 0.000 0.000 0.000
Li 0.000 2.767 2.471
Mn 2.397 1.384 2.471
H 2.397 0.165 1.381
H 2.397 0.165 3.562
H 1.341 1.993 1.381
H 1.341 1.993 3.562
H 3.452 1.993 1.381
H 3.452 1.993 3.562
```

Largest 6 diffraction maxima, by angle, 2θ from 10° to 90°:
2theta	intensity
21.41	39
28.07	100
37.53	29
47.52	22
53.25	21
62.07	20


# 8
Computed powder diffractogram of BaLiMo2H for copper Kα, from a cell relaxed with GGA-PBE.

Structure:
```
5
Lattice="3.988 0.000 0.000 0.000 3.988 0.000 0.000 0.000 5.535" Properties=species:S:1:pos:R:3 pbc="T T T"
Ba 0.000 0.000 0.000
Li 1.994 1.994 0.000
Mo 0.000 1.994 2.768
Mo 1.994 0.000 2.768
H 0.000 0.000 2.768
```

Largest 6 diffraction maxima, by angle, 2θ from 10° to 90°:
2theta	intensity
22.29	25
27.57	28
32.35	33
35.74	100
45.49	25
56.92	26